# 1
Calculated powder XRD pattern of Sn2O3 for Cu Kα, 1.54184 Å, from a PBE-relaxed structure.
Lines closer than 0.1° are merged.

Cell and atoms:
```
data_Sn2O3
_chemical_formula_sum 'Sn16 O24'
_cell_length_a 3.309
_cell_length_b 10.204
_cell_length_c 21.025
_cell_angle_alpha 90.00
_cell_angle_beta 90.00
_cell_angle_gamma 90.00
_space_group_name_H-M_alt 'C m c m'
_space_group_IT_number 63
_space_group_name_Hall '-C 2c 2'
loop_
_atom_site_label
_atom_site_type_symbol
_atom_site_fract_x
_atom_site_fract_y
_atom_site_fract_z
Sn1 Sn 0.000 0.081 0.163
Sn2 Sn 0.000 0.364 0.040
O1 O 0.000 0.000 0.000
O2 O 0.000 0.001 0.250
O3 O 0.000 0.261 0.550
O4 O 0.000 0.454 0.124
```

Largest 10 diffraction maxima, low angle first, 2θ from 5° to 70°:
h k l, Position (°2θ), d (Å), Rel. int.
0 0 2, 8.4, 10.513, 77.7
0 2 3, 21.5, 4.125, 29.8
0 2 5, 27.5, 3.245, 100.0
1 1 1, 28.7, 3.113, 23.1
1 1 2, 29.6, 3.015, 58.6
1 3 1, 38.2, 2.357, 38.0
1 1 7, 41.6, 2.173, 24.0
1 3 7, 48.9, 1.861, 27.6
1 5 5, 57.4, 1.605, 23.7
1 1 12, 60.5, 1.531, 31.2

# 2
Calculated powder XRD pattern of BaMg6W for Cu Kα, 1.54184 Å, from a PBE-relaxed structure.
Lines closer than 0.1° are merged.

Cell and atoms:
```
data_BaMg6W
_chemical_formula_sum 'Ba1 Mg6 W1'
_cell_length_a 6.682
_cell_length_b 6.682
_cell_length_c 4.365
_cell_angle_alpha 90.00
_cell_angle_beta 90.00
_cell_angle_gamma 90.00
_space_group_name_H-M_alt 'P 4/m m m'
_space_group_IT_number 123
_space_group_name_Hall '-P 4 2'
loop_
_atom_site_label
_atom_site_type_symbol
_atom_site_fract_x
_atom_site_fract_y
_atom_site_fract_z
Ba1 Ba 0.000 0.000 0.000
Mg1 Mg 0.000 0.500 0.000
Mg2 Mg 0.289 0.289 0.500
W1 W 0.500 0.500 0.000
```

Largest 10 diffraction maxima, low angle first, 2θ from 5° to 70°:
h k l, Position (°2θ), d (Å), Rel. int.
1 1 0, 18.8, 4.725, 72.2
0 0 1, 20.3, 4.365, 28.7
2 0 0, 26.7, 3.341, 32.8
1 1 1, 27.8, 3.206, 51.5
2 0 1, 33.8, 2.653, 100.0
2 2 0, 38.1, 2.363, 34.3
2 2 1, 43.6, 2.078, 20.5
3 1 1, 47.8, 1.902, 28.1
2 2 2, 57.5, 1.603, 20.4
4 2 1, 66.1, 1.414, 25.1